1.
Mg2SbIr2: simulated powder X-ray diffraction pattern (Cu Kα (weighted mean of Kα1 and Kα2)), based on a structure optimized by DFT (PBE).
No peak broadening, texture or thermal motion is included.

```
Mg2SbIr2
1.0
7.427 0.000 0.000
0.000 7.427 0.000
0.000 0.000 3.183
Mg Sb Ir
4 2 4
Cartesian
1.023 2.691 0.000
2.691 6.405 0.000
4.736 1.023 0.000
6.405 4.736 0.000
0.000 0.000 1.591
3.714 3.714 1.591
1.187 4.901 1.591
2.526 1.187 1.591
4.901 6.240 1.591
6.240 2.526 1.591
```

Peak list (12 most intense, 10° ≤ 2θ ≤ 90°, low angle first)
(hkl)  2theta  d_spacing  Rel. int.
2 1 0  26.84  3.322  78.0
0 0 1  28.03  3.183  56.4
2 2 0  34.15  2.626  12.3
3 1 0  38.32  2.349  60.9
2 1 1  39.20  2.298  100.0
3 1 1  48.15  1.890  44.8
4 1 0  50.68  1.801  12.2
4 1 1  58.91  1.568  19.0
2 1 2  64.98  1.435  13.7
3 1 2  71.63  1.317  19.3
5 2 1  75.06  1.265  19.5
6 0 1  83.86  1.154  11.6

---

2.
MgSc4Ir5: simulated powder X-ray diffraction pattern (Cu Kα (weighted mean of Kα1 and Kα2)), based on a structure optimized by DFT (PBE).
No peak broadening, texture or thermal motion is included.

```
MgSc4Ir5
1.0
3.211 0.000 0.000
0.000 3.211 0.000
0.000 0.000 15.958
Mg Sc Ir
1 4 5
Cartesian
0.000 0.000 0.000
0.000 0.000 3.080
0.000 0.000 6.346
0.000 0.000 9.612
0.000 0.000 12.878
1.605 1.605 1.539
1.605 1.605 4.748
1.605 1.605 7.979
1.605 1.605 11.210
1.605 1.605 14.419
```

Peak list (12 most intense, 10° ≤ 2θ ≤ 90°, low angle first)
(hkl)  2theta  d_spacing  Rel. int.
1 0 0  27.78  3.211  53.5
0 0 5  27.96  3.192  26.3
1 1 0  39.70  2.270  51.0
1 0 5  39.82  2.264  100.0
1 1 5  49.25  1.850  23.6
2 0 0  57.40  1.605  17.3
0 0 10  57.78  1.596  8.1
2 1 0  64.99  1.435  21.3
1 0 10  65.30  1.429  10.4
2 1 5  72.13  1.310  34.5
1 1 10  72.38  1.306  16.6
2 0 10  85.87  1.132  10.8

---

3.
Mg2IrSe: simulated powder X-ray diffraction pattern (Cu Kα (weighted mean of Kα1 and Kα2)), based on a structure optimized by DFT (PBE).
No peak broadening, texture or thermal motion is included.

```
Mg2IrSe
1.0
3.592 0.000 0.000
0.000 3.592 0.000
0.000 0.000 5.713
Mg Ir Se
2 1 1
Cartesian
0.000 0.000 0.000
1.796 1.796 1.828
1.796 1.796 4.838
0.000 0.000 2.807
```

Peak list (12 most intense, 10° ≤ 2θ ≤ 90°, low angle first)
(hkl)  2theta  d_spacing  Rel. int.
0 0 1  15.51  5.713  48.1
1 0 0  24.78  3.592  21.5
1 0 1  29.37  3.041  100.0
0 0 2  31.32  2.856  22.1
1 1 0  35.33  2.540  76.8
1 1 1  38.80  2.321  21.1
1 0 2  40.34  2.236  73.3
1 1 2  47.92  1.898  27.3
2 0 0  50.83  1.796  27.2
2 1 1  59.80  1.547  27.6
2 1 2  66.81  1.400  32.9
1 0 4  71.02  1.327  17.7

---

4.
Mg2Ir4Se: simulated powder X-ray diffraction pattern (Cu Kα (weighted mean of Kα1 and Kα2)), based on a structure optimized by DFT (PBE).
No peak broadening, texture or thermal motion is included.

```
Mg2Ir4Se
1.0
4.540 0.000 0.000
0.000 4.540 0.000
0.000 0.000 13.382
Mg Ir Se
4 8 2
Cartesian
0.000 0.000 1.745
0.000 0.000 11.637
2.270 2.270 4.946
2.270 2.270 8.436
0.000 0.000 4.362
0.000 0.000 9.020
0.000 2.270 0.000
0.000 2.270 6.691
2.270 0.000 0.000
2.270 0.000 6.691
2.270 2.270 2.329
2.270 2.270 11.052
0.000 0.000 6.691
2.270 2.270 0.000
```

Peak list (12 most intense, 10° ≤ 2θ ≤ 90°, low angle first)
(hkl)  2theta  d_spacing  Rel. int.
0 0 2  13.23  6.691  38.4
1 0 1  20.66  4.299  47.5
1 0 3  28.04  3.182  30.3
1 1 2  30.90  2.894  100.0
1 1 4  38.88  2.316  45.3
1 0 5  39.07  2.306  26.9
2 0 0  39.71  2.270  74.5
0 0 6  40.44  2.230  31.1
2 2 0  57.41  1.605  25.6
2 0 6  57.97  1.591  43.8
3 1 2  66.63  1.404  23.0
2 2 6  72.56  1.303  22.6